Structure and simulated PXRD pattern of PrCoSb2 (DFT lattice parameters and positions (GGA-PBE); Cu Kα X-rays).
Lines closer than 0.1° are merged.

Principal peaks in the range 2θ from 10° to 90°, in order of rising 2θ:
2θ (°)	I_rel	(hkl)
27.12	18	1 0 2
30.21	27	1 1 1
33.89	41	1 0 3
34.09	100	1 1 2
41.20	52	2 0 0
50.35	17	1 0 5
54.38	21	2 1 3
59.67	22	2 2 0
67.02	14	2 1 5
70.55	23	3 1 2

Structural model:
```
data_PrCoSb2
_cell_length_a 4.3818
_cell_length_b 4.3818
_cell_length_c 9.9519
_cell_angle_alpha 90.00
_cell_angle_beta 90.00
_cell_angle_gamma 90.00
_symmetry_space_group_name_H-M 'P 4/n m m'
_symmetry_Int_Tables_number 129
loop_
_symmetry_equiv_pos_as_xyz
'x,y,z'
'-x,-y,-z'
'-y+1/2,x,z'
'y+1/2,-x,-z'
'-x+1/2,-y+1/2,z'
'x+1/2,y+1/2,-z'
'y,-x+1/2,z'
'-y,x+1/2,-z'
'x+1/2,-y,-z'
'-x+1/2,y,z'
'-y,-x,-z'
'y,x,z'
'-x,y+1/2,-z'
'x,-y+1/2,z'
'y+1/2,x+1/2,-z'
'-y+1/2,-x+1/2,z'
loop_
_atom_site_label
_atom_site_fract_x
_atom_site_fract_y
_atom_site_fract_z
Pr1 0.2500 0.2500 0.2414
Co1 0.2500 0.7500 0.0000
Sb1 0.2500 0.2500 0.8678
Sb2 0.2500 0.7500 0.5000
```